# 1
AcDy4: simulated powder diffractogram (λ = 1.5418 Å (Cu Kα)), based on a GGA-PBE-relaxed structure.
Intensities are scaled so that the largest is 100.

```
10
Lattice="3.668 0.000 0.000 0.000 5.046 0.000 0.000 0.000 18.292" Properties=species:S:1:pos:R:3 pbc="T T T"
Ac 0.000 0.000 0.000
Ac 1.834 2.523 9.146
Dy 0.000 0.000 3.682
Dy 0.000 0.000 7.191
Dy 0.000 0.000 11.101
Dy 0.000 0.000 14.610
Dy 1.834 2.523 1.955
Dy 1.834 2.523 5.464
Dy 1.834 2.523 12.828
Dy 1.834 2.523 16.337
```

Main lines, most intense first (15° ≤ 2θ ≤ 90°):
- 2θ 30.15, rel. 100
- 2θ 34.63, rel. 34
- 2θ 59.31, rel. 29
- 2θ 50.50, rel. 24
- 2θ 35.58, rel. 16
- 2θ 60.58, rel. 14
- 2θ 82.13, rel. 12
- 2θ 62.62, rel. 6



# 2
AcDy2Er7: simulated powder diffractogram (λ = 1.5418 Å (Cu Kα)), based on a GGA-PBE-relaxed structure.
Intensities are scaled so that the largest is 100.

```
10
Lattice="-2.716 3.534 8.356 2.716 -3.534 8.356 2.716 3.534 -8.356" Properties=species:S:1:pos:R:3 pbc="T T T"
Ac 0.000 0.000 0.000
Dy 2.716 0.000 5.018
Dy 0.000 3.534 3.338
Er 2.716 1.802 -1.867
Er 0.000 0.000 3.408
Er 2.716 1.802 1.867
Er 0.000 3.534 0.000
Er 0.000 1.733 6.489
Er 0.000 0.000 13.304
Er 0.000 1.733 10.223
```

Main lines, most intense first (15° ≤ 2θ ≤ 90°):
- 2θ 31.43, rel. 100
- 2θ 30.65, rel. 92
- 2θ 33.20, rel. 49
- 2θ 32.98, rel. 47
- 2θ 47.50, rel. 36
- 2θ 61.79, rel. 29
- 2θ 58.68, rel. 22
- 2θ 57.93, rel. 18